This entry pairs a crystal structure of Tb4PrNd2 with its calculated powder diffractogram. Radiation: Cu Kα. Structure: a cell relaxed with PBE.

Main lines, in order of falling intensity (2θ = 5–70°):
- d = 2.868 Å, rel. 1000
- d = 2.728 Å, rel. 739
- d = 2.895 Å, rel. 650
- d = 3.092 Å, rel. 406
- d = 2.904 Å, rel. 392
- d = 2.738 Å, rel. 345

Crystal structure
```
Tb4PrNd2
1.0
6.1841 0.0000 0.0000
0.0000 6.6495 0.0000
-2.9486 0.0000 11.3908
Tb Pr Nd
8 2 4
direct
0.1486 0.2500 0.1656 Tb
0.2872 0.7500 0.4255 Tb
0.3456 0.5077 0.7114 Tb
0.3456 0.9923 0.7114 Tb
0.6544 0.0077 0.2886 Tb
0.6544 0.4923 0.2886 Tb
0.7128 0.2500 0.5745 Tb
0.8514 0.7500 0.8344 Tb
0.0310 0.2500 0.8606 Pr
0.9690 0.7500 0.1394 Pr
0.1535 0.2500 0.4508 Nd
0.3980 0.7500 0.0095 Nd
0.6020 0.2500 0.9905 Nd
0.8465 0.7500 0.5492 Nd
```

***

This entry pairs a crystal structure of Tb3Pr7Nd2 with its calculated powder diffractogram. Radiation: Cu Kα. Structure: a cell relaxed with PBE.

Main lines, in order of falling intensity (2θ = 5–70°):
- d = 2.965 Å, rel. 1000
- d = 2.932 Å, rel. 975
- d = 2.636 Å, rel. 842
- d = 2.991 Å, rel. 804
- d = 2.747 Å, rel. 665
- d = 3.084 Å, rel. 580

Crystal structure
```
Tb3Pr7Nd2
1.0
6.5666 0.0000 0.0000
0.0000 3.6087 0.0000
-1.7924 0.0000 17.7887
Tb Pr Nd
3 7 2
direct
0.0000 0.0000 0.0000 Tb
0.0447 0.5000 0.6597 Tb
0.9553 0.5000 0.3403 Tb
0.2213 0.5000 0.1654 Pr
0.2423 0.0000 0.5050 Pr
0.2734 0.0000 0.8296 Pr
0.5000 0.5000 0.0000 Pr
0.7266 0.0000 0.1704 Pr
0.7577 0.0000 0.4950 Pr
0.7787 0.5000 0.8346 Pr
0.4411 0.0000 0.3300 Nd
0.5589 0.0000 0.6700 Nd
```

***

This entry pairs a crystal structure of Tb7Pr6Nd16 with its calculated powder diffractogram. Radiation: Cu Kα. Structure: a cell relaxed with PBE.

Main lines, in order of falling intensity (2θ = 5–70°):
- d = 2.855 Å, rel. 1000
- d = 1.648 Å, rel. 257
- d = 2.019 Å, rel. 138
- d = 3.108 Å, rel. 119
- d = 1.428 Å, rel. 71
- d = 3.297 Å, rel. 66

Crystal structure
```
Tb7Pr6Nd16
1.0
0.0000 8.0759 8.0759
8.0759 0.0000 8.0759
8.0759 8.0759 0.0000
Tb Pr Nd
7 6 16
direct
0.0000 0.0000 0.0000 Tb
0.0000 0.0000 0.5000 Tb
0.0000 0.5000 0.0000 Tb
0.0000 0.5000 0.5000 Tb
0.5000 0.0000 0.0000 Tb
0.5000 0.0000 0.5000 Tb
0.5000 0.5000 0.0000 Tb
0.2721 0.2721 0.7279 Pr
0.2721 0.7279 0.2721 Pr
0.2721 0.7279 0.7279 Pr
0.7279 0.2721 0.2721 Pr
0.7279 0.2721 0.7279 Pr
0.7279 0.7279 0.2721 Pr
0.0451 0.6516 0.6516 Nd
0.1260 0.1260 0.1260 Nd
0.1260 0.1260 0.6220 Nd
0.1260 0.6220 0.1260 Nd
0.3484 0.3484 0.3484 Nd
0.3484 0.3484 0.9549 Nd
0.3484 0.9549 0.3484 Nd
0.3780 0.8740 0.8740 Nd
0.6220 0.1260 0.1260 Nd
0.6516 0.0451 0.6516 Nd
0.6516 0.6516 0.0451 Nd
0.6516 0.6516 0.6516 Nd
0.8740 0.3780 0.8740 Nd
0.8740 0.8740 0.3780 Nd
0.8740 0.8740 0.8740 Nd
0.9549 0.3484 0.3484 Nd
```